This entry pairs a crystal structure of Pu2Zn15Pt2 with its simulated powder diffractogram. Radiation: Cu Ka. Structure: a cell relaxed with GGA-PBE.
Intensities are scaled so that the largest is 100.

Structural model:
Cell lengths 9.0215, 9.0215, 13.1740 Å; angles 90.00, 90.00, 120.00 degrees
Space group R-3m (No. 166, hexagonal axes)
Unique sites:
Pu  0.0000  0.0000  0.1602 (multiplicity 6)
Zn  0.0000  0.2864  0.5000 (multiplicity 18)
Zn  0.0000  0.5000  0.0000 (multiplicity 9)
Zn  0.0044  0.5022  0.6493 (multiplicity 18)
Pt  0.0000  0.0000  0.3861 (multiplicity 6)

The 8 most intense peaks (2θ = 15–90°), sorted by position:
19.7°, rel. 64, (1 1 0); 29.4°, rel. 37, (1 0 4); 34.4°, rel. 79, (3 0 0); 35.7°, rel. 65, (0 2 4); 40.0°, rel. 100, (2 2 0); 40.3°, rel. 69, (0 3 3); 41.1°, rel. 81, (0 0 6); 58.7°, rel. 39, (3 2 4)


This entry pairs a crystal structure of Nd4Dy7Sc with its simulated powder diffractogram. Radiation: Cu Ka. Structure: a cell relaxed with GGA-PBE.
Intensities are scaled so that the largest is 100.

Structural model:
Cell lengths 11.4452, 5.3443, 13.2059 Å; angles 90.00, 104.43, 90.00 degrees
Space group C2/m (No. 12)
Unique sites:
Nd  0.0369  0.0000  0.2832 (multiplicity 4)
Nd  0.1788  0.5000  0.7628 (multiplicity 4)
Dy  0.0000  0.5000  0.5000 (multiplicity 2)
Dy  0.0884  0.5000  0.1288 (multiplicity 4)
Dy  0.1378  0.0000  0.9656 (multiplicity 4)
Dy  0.2331  0.5000  0.3992 (multiplicity 4)
Sc  0.0000  0.0000  0.5000 (multiplicity 2)

The 8 most intense peaks (2θ = 15–90°), sorted by position:
29.5°, rel. 100, (1 1 3); 29.9°, rel. 96, (3 1 -2); 33.5°, rel. 43, (0 2 0); 34.8°, rel. 62, (2 0 -5); 49.1°, rel. 47, (2 2 -5); 57.7°, rel. 20, (3 3 -2); 58.9°, rel. 17, (1 1 -8); 59.6°, rel. 20, (7 1 -1)


This entry pairs a crystal structure of Cs3Pd2Br8 with its simulated powder diffractogram. Radiation: Cu Ka. Structure: a cell relaxed with GGA-PBE.
Intensities are scaled so that the largest is 100.

Structural model:
Cell lengths 7.7714, 7.7762, 11.1723 Å; angles 69.67, 69.67, 60.04 degrees
Space group P-1 (No. 2)
Unique sites:
Cs  0.0000  0.0000  0.0000 (multiplicity 1)
Cs  0.2124  0.2123  0.3631 (multiplicity 2)
Pd  0.4134  0.4126  0.7596 (multiplicity 2)
Br  0.2061  0.7408  0.3119 (multiplicity 2)
Br  0.2585  0.2589  0.6877 (multiplicity 2)
Br  0.2592  0.7928  0.6887 (multiplicity 2)
Br  0.3324  0.3303  0.0026 (multiplicity 2)

The 8 most intense peaks (2θ = 15–90°), sorted by position:
19.6°, rel. 45, (0 1 2); 22.9°, rel. 100, (2 1 1); 26.1°, rel. 55, (0 0 3); 27.1°, rel. 53, (0 2 0); 29.0°, rel. 36, (2 2 0); 30.3°, rel. 78, (2 2 3); 46.7°, rel. 58, (2 -2 0); 54.3°, rel. 43, (2 4 5)


This entry pairs a crystal structure of Pr3Co3Ni with its simulated powder diffractogram. Radiation: Cu Ka. Structure: a cell relaxed with GGA-PBE.
Intensities are scaled so that the largest is 100.

Structural model:
Cell lengths 4.3644, 10.2019, 12.6009 Å; angles 90.00, 90.00, 90.00 degrees
Space group Cmcm (No. 63)
Unique sites:
Pr  0.0000  0.0281  0.2500 (multiplicity 4)
Pr  0.0000  0.2656  0.6020 (multiplicity 8)
Co  0.0000  0.3366  0.2500 (multiplicity 4)
Co  0.0000  0.4419  0.0837 (multiplicity 8)
Ni  0.0000  0.0000  0.0000 (multiplicity 4)

The 8 most intense peaks (2θ = 15–90°), sorted by position:
30.8°, rel. 100, (1 1 3); 33.4°, rel. 91, (0 2 4); 34.2°, rel. 73, (1 3 1); 36.3°, rel. 47, (1 1 4); 39.9°, rel. 47, (1 3 3); 41.4°, rel. 91, (2 0 0); 54.2°, rel. 36, (2 2 4); 62.1°, rel. 37, (0 6 4)


This entry pairs a crystal structure of LaPm6Nd12 with its simulated powder diffractogram. Radiation: Cu Ka. Structure: a cell relaxed with GGA-PBE.
Intensities are scaled so that the largest is 100.

Structural model:
Cell lengths 16.0317, 16.0317, 9.0272 Å; angles 90.00, 90.00, 120.00 degrees
Space group R-3 (No. 148, hexagonal axes)
Unique sites:
La  0.0000  0.0000  0.0000 (multiplicity 3)
Pm  0.0352  0.2805  0.3331 (multiplicity 18)
Nd  0.0175  0.1410  0.6659 (multiplicity 18)
Nd  0.0694  0.5613  0.6672 (multiplicity 18)

The 8 most intense peaks (2θ = 15–90°), sorted by position:
29.7°, rel. 100, (3 2 1); 34.5°, rel. 51, (5 -3 2); 49.5°, rel. 36, (3 2 4); 58.8°, rel. 43, (1 7 3); 61.8°, rel. 9, (6 4 2); 80.4°, rel. 9, (6 4 5); 80.5°, rel. 9, (11 1 1); 82.9°, rel. 8, (1 7 6)


This entry pairs a crystal structure of Zr3Sn2H2 with its simulated powder diffractogram. Radiation: Cu Ka. Structure: a cell relaxed with GGA-PBE.
Intensities are scaled so that the largest is 100.

Structural model:
Cell lengths 5.9049, 8.2677, 5.9417 Å; angles 90.00, 119.90, 90.00 degrees
Space group P2_1/c (No. 14)
Unique sites:
Zr  0.0000  0.0000  0.0000 (multiplicity 2)
Zr  0.2535  0.1377  0.6457 (multiplicity 4)
Sn  0.2642  0.7258  0.3378 (multiplicity 4)
H  0.2678  0.1387  0.2967 (multiplicity 4)

The 8 most intense peaks (2θ = 15–90°), sorted by position:
27.7°, rel. 43, (1 2 -1); 32.1°, rel. 39, (1 1 1); 35.0°, rel. 52, (2 0 0); 36.5°, rel. 60, (0 1 2); 36.7°, rel. 53, (2 1 -2); 37.0°, rel. 100, (1 3 0); 37.3°, rel. 42, (1 2 -2); 41.5°, rel. 43, (2 2 0)


This entry pairs a crystal structure of HfZrSc5 with its simulated powder diffractogram. Radiation: Cu Ka. Structure: a cell relaxed with GGA-PBE.
Intensities are scaled so that the largest is 100.

Structural model:
Cell lengths 7.8295, 3.2199, 13.3266 Å; angles 90.00, 92.13, 90.00 degrees
Space group P2_1/m (No. 11)
Unique sites:
Hf  0.1022  0.2500  0.1827 (multiplicity 2)
Zr  0.3695  0.7500  0.3103 (multiplicity 2)
Sc  0.0584  0.2500  0.4021 (multiplicity 2)
Sc  0.1704  0.7500  0.9824 (multiplicity 2)
Sc  0.2280  0.2500  0.7541 (multiplicity 2)
Sc  0.3441  0.7500  0.5474 (multiplicity 2)
Sc  0.4670  0.2500  0.1130 (multiplicity 2)

The 8 most intense peaks (2θ = 15–90°), sorted by position:
30.9°, rel. 94, (1 1 1); 34.7°, rel. 96, (2 0 -4); 35.3°, rel. 83, (3 0 1); 36.0°, rel. 100, (1 0 5); 36.1°, rel. 60, (2 1 0); 36.6°, rel. 77, (1 1 3); 38.3°, rel. 34, (2 1 -2); 38.9°, rel. 64, (0 1 4)


This entry pairs a crystal structure of Nd4Ho6Sc with its simulated powder diffractogram. Radiation: Cu Ka. Structure: a cell relaxed with GGA-PBE.
Intensities are scaled so that the largest is 100.

Structural model:
Cell lengths 5.6936, 9.6149, 25.7689 Å; angles 90.00, 90.00, 90.00 degrees
Space group Cmcm (No. 63)
Unique sites:
Nd  0.0000  0.0290  0.1228 (multiplicity 8)
Nd  0.0000  0.3443  0.0469 (multiplicity 8)
Ho  0.0000  0.0000  0.0000 (multiplicity 4)
Ho  0.0000  0.0190  0.2500 (multiplicity 4)
Ho  0.0000  0.3102  0.6108 (multiplicity 8)
Ho  0.0000  0.3556  0.1846 (multiplicity 8)
Sc  0.0000  0.3150  0.7500 (multiplicity 4)

The 8 most intense peaks (2θ = 15–90°), sorted by position:
30.4°, rel. 57, (1 1 7); 30.6°, rel. 43, (0 2 7); 31.4°, rel. 62, (2 0 0); 32.0°, rel. 100, (1 3 0); 33.3°, rel. 54, (1 1 8); 44.4°, rel. 31, (2 2 7); 56.3°, rel. 37, (3 3 0); 67.1°, rel. 17, (2 6 0)


This entry pairs a crystal structure of Dy3Ni4 with its simulated powder diffractogram. Radiation: Cu Ka. Structure: a cell relaxed with GGA-PBE.
Intensities are scaled so that the largest is 100.

Structural model:
Cell lengths 4.0553, 9.7324, 12.9454 Å; angles 90.00, 90.00, 90.00 degrees
Space group Cmcm (No. 63)
Unique sites:
Dy  0.0000  0.0048  0.2500 (multiplicity 4)
Dy  0.0000  0.2875  0.1021 (multiplicity 8)
Ni  0.0000  0.0000  0.0000 (multiplicity 4)
Ni  0.0000  0.2885  0.7500 (multiplicity 4)
Ni  0.0000  0.4264  0.5871 (multiplicity 8)

The 8 most intense peaks (2θ = 15–90°), sorted by position:
27.5°, rel. 41, (1 1 2); 31.6°, rel. 100, (1 1 3); 33.2°, rel. 67, (0 2 4); 35.4°, rel. 89, (1 3 0); 36.7°, rel. 91, (1 1 4); 41.3°, rel. 99, (1 3 3); 42.7°, rel. 42, (0 4 3); 44.7°, rel. 62, (2 0 0)